Theoretical powder XRD pattern
Compound: HgSbS4
Radiation: CuKα
Structure: a structure optimized by DFT (GGA-PBE)
No peak broadening, texture or thermal motion is included.

abc: 6.834 7.472 7.542
angles: 114.87 90.12 105.95
Fractional coordinates of all 12 atoms:
Hg1 0.028 0.125 0.412
Hg2 0.972 0.875 0.588
Sb1 0.393 0.637 0.826
Sb2 0.607 0.363 0.174
S1 0.116 0.397 0.289
S2 0.242 0.271 0.033
S3 0.298 0.852 0.151
S4 0.462 0.890 0.675
S5 0.538 0.110 0.325
S6 0.702 0.148 0.849
S7 0.758 0.729 0.967
S8 0.884 0.603 0.711

Main lines, most intense first (10 to 80 degrees two-theta):
2θ (°)	Rel. int.
22.80	100
17.57	67
28.64	65
26.66	59
32.06	55
20.14	51
30.84	43
34.49	39
41.89	33
16.13	32
17.95	31
37.91	28